Entry 1:
Computed powder diffraction line list of LiNiPO4 for Cu Kα X-rays, from a crystal structure in Alexandria, relaxed with GGA+U.
Intensities are scaled so that the largest is 100.

```
data_LiNiPO4
_cell_length_a 5.170
_cell_length_b 7.699
_cell_length_c 8.108
_cell_angle_alpha 85.53
_cell_angle_beta 89.58
_cell_angle_gamma 77.74
_symmetry_space_group_name_H-M 'P -1'
_symmetry_Int_Tables_number 2
loop_
_symmetry_equiv_pos_as_xyz
'x,y,z'
'-x,-y,-z'
loop_
_atom_site_label
_atom_site_fract_x
_atom_site_fract_y
_atom_site_fract_z
Li1 0.185 0.329 0.074
Li2 0.205 0.818 0.400
Ni1 0.311 0.546 0.720
Ni2 0.360 0.057 0.813
P1 0.253 0.720 0.067
P2 0.277 0.211 0.412
O1 0.033 0.177 0.922
O2 0.071 0.359 0.316
O3 0.179 0.176 0.590
O4 0.240 0.563 0.960
O5 0.315 0.040 0.317
O6 0.377 0.652 0.240
O7 0.440 0.838 0.985
O8 0.454 0.726 0.585
```

Largest 10 diffraction maxima, in order of rising 2θ, 2θ = 10–80°:
(hkl)	d/Å	two_theta	Rel. int.
1 0 0	5.052	17.6	64
0 1 2	3.680	24.2	57
0 2 1	3.508	25.4	37
1 -1 1	3.400	26.2	32
1 2 0	3.374	26.4	100
1 2 -1	3.045	29.3	43
0 2 2	2.863	31.2	38
0 2 -2	2.649	33.8	68
1 3 1	2.401	37.5	31
1 1 3	2.376	37.9	25



Entry 2:
Computed powder diffraction line list of Li5Ni2P3O12 for Cu Kα X-rays, from a crystal structure in Alexandria, relaxed with GGA+U.
Intensities are scaled so that the largest is 100.

```
data_Li5Ni2P3O12
_cell_length_a 8.302
_cell_length_b 8.320
_cell_length_c 9.252
_cell_angle_alpha 90.05
_cell_angle_beta 116.47
_cell_angle_gamma 119.92
_symmetry_space_group_name_H-M 'P -1'
_symmetry_Int_Tables_number 2
loop_
_symmetry_equiv_pos_as_xyz
'x,y,z'
'-x,-y,-z'
loop_
_atom_site_label
_atom_site_fract_x
_atom_site_fract_y
_atom_site_fract_z
Li1 0.062 0.334 0.138
Li2 0.086 0.254 0.599
Li3 0.215 0.281 0.902
Li4 0.380 0.071 0.099
Li5 0.387 0.880 0.596
Ni1 0.289 0.152 0.433
Ni2 0.304 0.652 0.965
P1 0.193 0.748 0.239
P2 0.209 0.954 0.754
P3 0.489 0.544 0.747
O1 0.016 0.151 0.263
O2 0.028 0.529 0.194
O3 0.097 0.858 0.270
O4 0.185 0.975 0.580
O5 0.232 0.799 0.090
O6 0.309 0.447 0.110
O7 0.316 0.839 0.808
O8 0.326 0.496 0.808
O9 0.355 0.154 0.892
O10 0.360 0.383 0.584
O11 0.411 0.823 0.402
O12 0.428 0.250 0.281
```

Largest 10 diffraction maxima, in order of rising 2θ, 2θ = 10–80°:
(hkl)	d/Å	two_theta	Rel. int.
0 1 -1	6.160	14.4	72
1 -1 1	4.587	19.4	100
1 1 -1	4.157	21.4	16
1 -2 1	3.684	24.2	80
0 2 -2	3.080	29.0	61
-1 2 2	2.873	31.1	65
1 1 -3	2.864	31.2	36
-3 3 1	2.400	37.5	35
2 2 -4	1.841	49.5	16
-1 3 3	1.793	50.9	16



Entry 3:
Computed powder diffraction line list of LiNi2P3O10 for Cu Kα X-rays, from a crystal structure in Alexandria, relaxed with GGA+U.
Intensities are scaled so that the largest is 100.

```
data_LiNi2P3O10
_cell_length_a 4.630
_cell_length_b 8.469
_cell_length_c 9.000
_cell_angle_alpha 90.00
_cell_angle_beta 98.00
_cell_angle_gamma 90.00
_symmetry_space_group_name_H-M 'P 1 21/m 1'
_symmetry_Int_Tables_number 11
loop_
_symmetry_equiv_pos_as_xyz
'x,y,z'
'-x,-y,-z'
'-x,y+1/2,-z'
'x,-y+1/2,z'
loop_
_atom_site_label
_atom_site_fract_x
_atom_site_fract_y
_atom_site_fract_z
Li1 0.000 0.000 0.000
Ni1 0.036 0.069 0.336
P1 0.329 0.250 0.821
P2 0.398 0.750 0.465
P3 0.462 0.250 0.146
O1 0.158 0.098 0.812
O2 0.228 0.598 0.486
O3 0.233 0.750 0.761
O4 0.288 0.099 0.160
O5 0.295 0.250 0.445
O6 0.435 0.750 0.290
O7 0.448 0.750 0.025
```

Largest 10 diffraction maxima, in order of rising 2θ, 2θ = 10–80°:
(hkl)	d/Å	two_theta	Rel. int.
0 1 1	6.139	14.4	18
1 1 1	3.516	25.3	28
1 0 -2	3.444	25.9	29
1 2 0	3.111	28.7	100
1 1 2	2.823	31.7	36
0 3 1	2.691	33.3	20
1 0 -3	2.669	33.6	44
0 2 3	2.432	37.0	20
1 3 2	2.054	44.1	26
2 3 2	1.594	57.8	21



Entry 4:
Computed powder diffraction line list of LiNiPO4 for Cu Kα X-rays, from a crystal structure in Alexandria, relaxed with GGA+U.
Intensities are scaled so that the largest is 100.

```
data_LiNiPO4
_cell_length_a 4.8398
_cell_length_b 4.8398
_cell_length_c 23.4966
_cell_angle_alpha 90.00
_cell_angle_beta 90.00
_cell_angle_gamma 120.00
_symmetry_space_group_name_H-M 'R -3'
_symmetry_Int_Tables_number 148
_symmetry_space_group_name_Hall '-R 3'
loop_
_atom_site_label
_atom_site_fract_x
_atom_site_fract_y
_atom_site_fract_z
Li1 0.0000 0.0000 0.2176
Ni1 0.0000 0.0000 0.3387
P1 0.0000 0.0000 0.0751
O1 0.0000 0.0000 0.1388
O2 0.0168 0.6477 0.6143
```

Largest 10 diffraction maxima, in order of rising 2θ, 2θ = 10–80°:
(hkl)	d/Å	two_theta	Rel. int.
0 0 3	7.832	11.3	100
1 0 4	3.412	26.1	22
0 1 5	3.128	28.5	13
1 0 7	2.620	34.2	13
1 1 0	2.420	37.2	22
2 -1 3	2.312	39.0	12
2 -1 6	2.059	44.0	12
2 -1 9	1.776	51.5	14
1 1 12	1.522	60.9	9
3 0 0	1.397	67.0	9



Entry 5:
Computed powder diffraction line list of LiNiPO4 for Cu Kα X-rays, from a crystal structure in Alexandria, relaxed with GGA+U.
Intensities are scaled so that the largest is 100.

```
data_LiNiPO4
_cell_length_a 4.478
_cell_length_b 5.165
_cell_length_c 7.372
_cell_angle_alpha 90.30
_cell_angle_beta 103.20
_cell_angle_gamma 102.17
_symmetry_space_group_name_H-M 'P -1'
_symmetry_Int_Tables_number 2
loop_
_symmetry_equiv_pos_as_xyz
'x,y,z'
'-x,-y,-z'
loop_
_atom_site_label
_atom_site_fract_x
_atom_site_fract_y
_atom_site_fract_z
Li1 0.240 0.210 0.488
Ni1 0.469 0.259 0.093
P1 0.146 0.684 0.237
O1 0.149 0.830 0.419
O2 0.195 0.410 0.883
O3 0.298 0.440 0.285
O4 0.336 0.876 0.118
```

Largest 10 diffraction maxima, in order of rising 2θ, 2θ = 10–80°:
(hkl)	d/Å	two_theta	Rel. int.
0 0 1	7.166	12.4	100
1 0 0	4.251	20.9	19
-1 1 1	3.504	25.4	15
1 0 1	3.331	26.8	66
0 1 -2	3.001	29.8	20
1 1 -1	2.938	30.4	25
-1 1 2	2.800	32.0	29
0 2 0	2.521	35.6	14
1 -2 1	2.232	40.4	14
-1 1 3	2.168	41.7	16



Entry 6:
Computed powder diffraction line list of Li2NiP2O7 for Cu Kα X-rays, from a crystal structure in Alexandria, relaxed with GGA+U.
Intensities are scaled so that the largest is 100.

```
data_Li2NiP2O7
_cell_length_a 6.548
_cell_length_b 9.247
_cell_length_c 10.250
_cell_angle_alpha 66.53
_cell_angle_beta 87.00
_cell_angle_gamma 72.77
_symmetry_space_group_name_H-M 'P 1'
_symmetry_Int_Tables_number 1
loop_
_symmetry_equiv_pos_as_xyz
'x,y,z'
loop_
_atom_site_label
_atom_site_fract_x
_atom_site_fract_y
_atom_site_fract_z
Li1 0.000 0.000 0.000
Li2 0.004 0.071 0.581
Li3 0.265 0.238 0.900
Li4 0.351 0.663 0.554
Li5 0.582 0.103 0.132
Li6 0.624 0.338 0.459
Li7 0.809 0.655 0.450
Li8 0.864 0.423 0.998
Ni1 0.195 0.256 0.292
Ni2 0.287 0.637 0.274
Ni3 0.547 0.683 0.774
Ni4 0.629 0.058 0.745
P1 0.009 0.957 0.322
P2 0.038 0.721 0.816
P3 0.216 0.340 0.574
P4 0.350 0.467 0.051
P5 0.491 0.867 0.994
P6 0.606 0.976 0.466
P7 0.811 0.583 0.224
P8 0.824 0.355 0.722
O1 0.035 0.084 0.374
O2 0.149 0.630 0.979
O3 0.162 0.246 0.495
O4 0.211 0.810 0.356
O5 0.222 0.700 0.721
O6 0.297 0.834 0.075
O7 0.298 0.317 0.046
O8 0.326 0.469 0.486
O9 0.338 0.228 0.719
O10 0.358 0.442 0.210
O11 0.482 0.082 0.320
O12 0.482 0.874 0.840
O13 0.521 0.836 0.561
O14 0.535 0.027 0.982
O15 0.548 0.500 0.976
O16 0.624 0.501 0.696
O17 0.632 0.570 0.330
O18 0.650 0.084 0.536
O19 0.703 0.719 0.071
O20 0.786 0.237 0.661
O21 0.838 0.874 0.430
O22 0.876 0.631 0.817
O23 0.902 0.032 0.171
O24 0.911 0.427 0.197
O25 0.938 0.266 0.872
O26 0.939 0.903 0.795
O27 0.966 0.648 0.275
O28 0.988 0.445 0.611
```

Largest 10 diffraction maxima, in order of rising 2θ, 2θ = 10–80°:
(hkl)	d/Å	two_theta	Rel. int.
0 1 1	7.887	11.2	91
1 0 1	5.023	17.7	100
0 0 2	4.688	18.9	63
1 2 0	3.984	22.3	44
0 2 2	3.943	22.5	52
1 2 2	3.745	23.8	97
0 3 2	2.893	30.9	76
-2 1 1	2.695	33.2	47
2 -1 0	2.653	33.8	68
2 2 -1	2.638	34.0	45



Entry 7:
Computed powder diffraction line list of LiNiPO4 for Cu Kα X-rays, from a crystal structure in Alexandria, relaxed with GGA+U.
Intensities are scaled so that the largest is 100.

```
data_LiNiPO4
_cell_length_a 9.920
_cell_length_b 4.929
_cell_length_c 7.028
_cell_angle_alpha 90.00
_cell_angle_beta 90.00
_cell_angle_gamma 90.00
_symmetry_space_group_name_H-M 'P n a 21'
_symmetry_Int_Tables_number 33
loop_
_symmetry_equiv_pos_as_xyz
'x,y,z'
'-x,-y,z+1/2'
'-x+1/2,y+1/2,z+1/2'
'x+1/2,-y+1/2,z'
loop_
_atom_site_label
_atom_site_fract_x
_atom_site_fract_y
_atom_site_fract_z
Li1 0.153 0.200 0.000
Ni1 0.148 0.207 0.500
P1 0.097 0.695 0.249
O1 0.056 0.235 0.749
O2 0.121 0.383 0.250
O3 0.161 0.816 0.432
O4 0.163 0.811 0.065
```

Largest 10 diffraction maxima, in order of rising 2θ, 2θ = 10–80°:
(hkl)	d/Å	two_theta	Rel. int.
0 1 1	4.044	22.0	100
2 0 2	2.867	31.2	11
1 1 2	2.749	32.6	8
4 0 0	2.479	36.2	28
0 2 0	2.465	36.5	17
0 1 3	2.117	42.7	10
4 1 1	2.113	42.8	7
2 2 1	2.106	43.0	8
0 0 4	1.757	52.0	6
0 2 4	1.431	65.2	6



Entry 8:
Computed powder diffraction line list of Li5NiP3O11 for Cu Kα X-rays, from a crystal structure in Alexandria, relaxed with GGA+U.
Intensities are scaled so that the largest is 100.

```
data_Li5NiP3O11
_cell_length_a 5.282
_cell_length_b 8.501
_cell_length_c 9.597
_cell_angle_alpha 95.48
_cell_angle_beta 90.02
_cell_angle_gamma 93.72
_symmetry_space_group_name_H-M 'P -1'
_symmetry_Int_Tables_number 2
loop_
_symmetry_equiv_pos_as_xyz
'x,y,z'
'-x,-y,-z'
loop_
_atom_site_label
_atom_site_fract_x
_atom_site_fract_y
_atom_site_fract_z
Li1 0.015 0.480 0.348
Li2 0.201 0.870 0.829
Li3 0.202 0.118 0.672
Li4 0.279 0.816 0.150
Li5 0.312 0.105 0.341
Ni1 0.000 0.500 0.000
Ni2 0.500 0.500 0.500
P1 0.237 0.163 0.023
P2 0.300 0.792 0.485
P3 0.485 0.444 0.183
O1 0.007 0.262 0.007
O2 0.168 0.625 0.504
O3 0.172 0.872 0.367
O4 0.178 0.054 0.139
O5 0.233 0.503 0.806
O6 0.296 0.895 0.628
O7 0.315 0.560 0.123
O8 0.336 0.090 0.884
O9 0.367 0.391 0.319
O10 0.420 0.243 0.553
O11 0.481 0.278 0.082
```

Largest 10 diffraction maxima, in order of rising 2θ, 2θ = 10–80°:
(hkl)	d/Å	two_theta	Rel. int.
0 1 0	8.444	10.5	100
0 0 2	4.777	18.6	99
1 0 -1	4.626	19.2	44
1 1 -1	4.040	22.0	72
1 1 1	3.877	22.9	30
1 -2 1	3.284	27.2	39
0 3 0	2.815	31.8	41
1 0 -3	2.734	32.8	32
1 1 -3	2.638	34.0	30
2 -1 0	2.564	35.0	36